Record 1
GaCuBr4: calculated powder diffractogram (CuKα), based on a DFT-relaxed cell (PBE, the Materials Project).

Largest 6 diffraction maxima, in order of falling intensity, 5° ≤ 2θ ≤ 70°:
2θ (°)	I_rel
26.86	100.0
45.26	39.9
51.56	28.8
17.03	23.5
43.15	22.2
55.23	12.7

Structural model:
```
data_GaCuBr4
_chemical_formula_sum 'Ga2 Cu2 Br8'
_cell_length_a 5.929
_cell_length_b 5.929
_cell_length_c 10.871
_cell_angle_alpha 90.00
_cell_angle_beta 90.00
_cell_angle_gamma 90.00
_symmetry_space_group_name_H-M 'P -4 2 c'
_symmetry_Int_Tables_number 112
loop_
_symmetry_equiv_pos_as_xyz
'x,y,z'
'y,-x,-z'
'-x,-y,z'
'-y,x,-z'
'x,-y,-z+1/2'
'y,x,z+1/2'
'-x,y,-z+1/2'
'-y,-x,z+1/2'
loop_
_atom_site_label
_atom_site_type_symbol
_atom_site_fract_x
_atom_site_fract_y
_atom_site_fract_z
Ga1 Ga 0.000 0.500 0.250
Cu1 Cu 0.000 0.000 0.000
Br1 Br 0.229 0.265 0.124
```

=====

Record 2
LaMg3: calculated powder diffractogram (CuKα), based on a DFT-relaxed cell (PBE, the Materials Project).

Largest 6 diffraction maxima, in order of falling intensity, 5° ≤ 2θ ≤ 70°:
2θ (°)	I_rel
33.77	100.0
20.49	62.2
60.41	36.3
39.83	34.1
23.70	33.0
48.51	17.8

Structural model:
```
data_LaMg3
_chemical_formula_sum 'La4 Mg12'
_cell_length_a 7.507
_cell_length_b 7.507
_cell_length_c 7.507
_cell_angle_alpha 90.00
_cell_angle_beta 90.00
_cell_angle_gamma 90.00
_symmetry_space_group_name_H-M 'F m -3 m'
_symmetry_Int_Tables_number 225
_symmetry_space_group_name_Hall '-F 4 2 3'
loop_
_atom_site_label
_atom_site_type_symbol
_atom_site_fract_x
_atom_site_fract_y
_atom_site_fract_z
La1 La 0.000 0.000 0.000
Mg1 Mg 0.000 0.000 0.500
Mg2 Mg 0.250 0.250 0.250
```

=====

Record 3
BeH2O2: calculated powder diffractogram (CuKα), based on a DFT-relaxed cell (PBE, the Materials Project).

Largest 6 diffraction maxima, in order of falling intensity, 5° ≤ 2θ ≤ 70°:
2θ (°)	I_rel
37.70	100.0
23.44	72.6
29.47	57.0
41.49	51.0
39.58	48.7
35.63	36.9

Structural model:
```
data_BeH2O2
_chemical_formula_sum 'Be4 H8 O8'
_cell_length_a 5.039
_cell_length_b 5.317
_cell_length_c 5.416
_cell_angle_alpha 90.00
_cell_angle_beta 90.00
_cell_angle_gamma 90.00
_symmetry_space_group_name_H-M 'P 21 21 21'
_symmetry_Int_Tables_number 19
loop_
_symmetry_equiv_pos_as_xyz
'x,y,z'
'-x+1/2,-y,z+1/2'
'x+1/2,-y+1/2,-z'
'-x,y+1/2,-z+1/2'
loop_
_atom_site_label
_atom_site_type_symbol
_atom_site_fract_x
_atom_site_fract_y
_atom_site_fract_z
Be1 Be 0.075 0.211 0.374
H1 H 0.042 0.836 0.727
H2 H 0.240 0.139 0.818
O1 O 0.071 0.901 0.319
O2 O 0.099 0.725 0.861
```

=====

Record 4
Li3AlB2O6: calculated powder diffractogram (CuKα), based on a DFT-relaxed cell (PBE, the Materials Project).

Largest 6 diffraction maxima, in order of falling intensity, 5° ≤ 2θ ≤ 70°:
2θ (°)	I_rel
16.89	100.0
22.89	75.6
21.79	63.2
13.68	40.2
34.53	40.0
31.65	38.9

Structural model:
```
data_Li3AlB2O6
_chemical_formula_sum 'Li6 Al2 B4 O12'
_cell_length_a 5.254
_cell_length_b 6.819
_cell_length_c 8.140
_cell_angle_alpha 71.68
_cell_angle_beta 87.56
_cell_angle_gamma 89.36
_symmetry_space_group_name_H-M 'P -1'
_symmetry_Int_Tables_number 2
loop_
_symmetry_equiv_pos_as_xyz
'x,y,z'
'-x,-y,-z'
loop_
_atom_site_label
_atom_site_type_symbol
_atom_site_fract_x
_atom_site_fract_y
_atom_site_fract_z
Li1 Li 0.031 0.287 0.218
Li2 Li 0.248 0.387 0.746
Li3 Li 0.308 0.593 0.385
Al1 Al 0.423 0.004 0.771
B1 B 0.239 0.737 0.082
B2 B 0.414 0.226 0.431
O1 O 0.094 0.581 0.189
O2 O 0.194 0.835 0.909
O3 O 0.270 0.175 0.589
O4 O 0.342 0.133 0.308
O5 O 0.395 0.633 0.602
O6 O 0.454 0.802 0.152
```